For NaInGe4O12, a crystal structure in the Materials Project, relaxed with PBE gives the theoretical X-ray diffraction stick pattern in this record (Cu Kα).

Cell and atoms:
Lattice parameters (Å, degrees): 7.421 7.372 7.508 90.00 90.00 90.00
Space group Amm2 (No. 38)
One atom of each set of equivalent atoms:
Na1 0.000 0.000 0.000 [2 per cell]
In1 0.500 0.000 0.467 [2 per cell]
Ge1 0.243 0.245 0.732 [8 per cell]
O1 0.000 0.207 0.223 [4 per cell]
O2 0.205 0.000 0.782 [4 per cell]
O3 0.276 0.203 0.481 [8 per cell]
O4 0.308 0.000 0.211 [4 per cell]
O5 0.500 0.188 0.722 [4 per cell]

Peak list (8 most intense, 2θ = 5–70°, in order of rising 2θ)
d 4.291, 2θ = 20.70°, I 100.0; d 3.754, 2θ = 23.70°, I 42.8; d 2.639, 2θ = 33.97°, I 83.0; d 2.630, 2θ = 34.09°, I 92.9; d 2.615, 2θ = 34.29°, I 96.4; d 1.877, 2θ = 48.50°, I 40.4; d 1.516, 2θ = 61.13°, I 42.7; d 1.511, 2θ = 61.36°, I 44.5